SrMg6NbO8: simulated powder XRD pattern (λ = 1.5418 Å (Cu Kα)), based on the PBE geometry in the Materials Project.

Atomic structure:
Cell lengths 4.4910, 4.4910, 8.9224 Å; angles 90.00, 90.00, 90.00 degrees
Fractional coordinates of all 16 atoms:
1 Sr 0.0000 0.0000 0.0000
2 Mg 0.0000 0.0000 0.5000
3 Mg 0.0000 0.5000 0.2658
4 Mg 0.0000 0.5000 0.7342
5 Mg 0.5000 0.0000 0.2658
6 Mg 0.5000 0.0000 0.7342
7 Mg 0.5000 0.5000 0.5000
8 Nb 0.5000 0.5000 0.0000
9 O 0.0000 0.0000 0.2741
10 O 0.0000 0.0000 0.7259
11 O 0.0000 0.5000 0.0000
12 O 0.0000 0.5000 0.5000
13 O 0.5000 0.0000 0.0000
14 O 0.5000 0.0000 0.5000
15 O 0.5000 0.5000 0.2622
16 O 0.5000 0.5000 0.7378

The 12 most intense peaks (10 to 90 degrees two-theta), by angle:
19.90°, I = 26, hkl 0 0 2; 28.10°, I = 21, hkl 1 1 0; 29.86°, I = 38, hkl 1 1 1; 30.05°, I = 18, hkl 0 0 3; 34.67°, I = 58, hkl 1 1 2; 40.16°, I = 100, hkl 2 0 0; 40.44°, I = 46, hkl 0 0 4; 50.96°, I = 15, hkl 2 0 3; 58.09°, I = 30, hkl 2 2 0; 58.31°, I = 56, hkl 2 0 4; 69.45°, I = 19, hkl 3 1 2; 73.16°, I = 26, hkl 2 2 4

=====

CeSm: simulated powder XRD pattern (λ = 1.5418 Å (Cu Kα)), based on the PBE geometry in the Materials Project.

Atomic structure:
Cell lengths 3.5126, 3.5126, 11.7257 Å; angles 90.00, 90.00, 120.00 degrees
Fractional coordinates of all 4 atoms:
1 Ce 0.3333 0.6667 0.2500
2 Ce 0.6667 0.3333 0.7500
3 Sm 0.0000 0.0000 0.0000
4 Sm 0.0000 0.0000 0.5000

The 12 most intense peaks (10 to 90 degrees two-theta), by angle:
29.36°, I = 9, hkl 1 0 0; 30.36°, I = 38, hkl 1 0 1; 30.49°, I = 36, hkl 0 0 4; 33.18°, I = 100, hkl 1 0 2; 37.46°, I = 22, hkl 1 0 3; 49.05°, I = 10, hkl 1 0 5; 52.07°, I = 24, hkl 1 1 0; 55.92°, I = 23, hkl 1 0 6; 61.54°, I = 34, hkl 1 1 4; 63.15°, I = 16, hkl 2 0 2; 86.20°, I = 13, hkl 2 1 2; 86.47°, I = 14, hkl 1 1 8

=====

HoP5: simulated powder XRD pattern (λ = 1.5418 Å (Cu Kα)), based on the PBE geometry in the Materials Project.

Atomic structure:
Cell lengths 4.9419, 9.4070, 5.3441 Å; angles 90.00, 102.25, 90.00 degrees
Fractional coordinates of all 12 atoms:
1 Ho 0.0035 0.2500 0.3467
2 Ho 0.9965 0.7500 0.6533
3 P 0.2743 0.2500 0.8923
4 P 0.2849 0.5286 0.4052
5 P 0.2849 0.9714 0.4052
6 P 0.3837 0.5929 0.0441
7 P 0.3837 0.9071 0.0441
8 P 0.6163 0.0929 0.9559
9 P 0.6163 0.4071 0.9559
10 P 0.7151 0.0286 0.5948
11 P 0.7151 0.4714 0.5948
12 P 0.7257 0.7500 0.1077

The 12 most intense peaks (10 to 90 degrees two-theta), by angle:
18.37°, I = 28, hkl 1 0 0; 18.87°, I = 36, hkl 0 2 0; 19.44°, I = 53, hkl 0 1 1; 24.21°, I = 64, hkl 1 1 -1; 26.45°, I = 100, hkl 1 2 0; 27.69°, I = 32, hkl 1 0 1; 29.32°, I = 95, hkl 1 1 1; 33.33°, I = 34, hkl 0 3 1; 35.69°, I = 46, hkl 0 1 2; 42.09°, I = 44, hkl 2 2 0; 42.77°, I = 25, hkl 1 4 0; 46.07°, I = 28, hkl 1 3 -2